Computed powder XRD pattern
Compound: HoZrCr2O6
Radiation: Cu Ka
Structure: a PBE+U-relaxed structure
Peak positions follow from Bragg's law for the DFT cell and can differ from measured ones.

Largest 10 diffraction maxima, in order of falling intensity, 15 to 90 degrees two-theta:
Position (°2θ), I (rel.), index
22.88, 100, 1 1 1
30.62, 80, 1 0 1
30.85, 76, 1 1 -1
32.76, 69, -1 1 1
31.59, 68, 0 1 2
32.96, 63, 1 2 1
33.55, 61, 2 1 0
46.75, 55, 2 0 -2
21.80, 49, 0 1 0
51.33, 35, -1 1 3

Atomic structure:
Cell lengths 5.342, 5.442, 5.690 Å; angles 63.12, 89.92, 61.00 degrees
Element x y z (fractional)
Ho: 0.000 0.000 0.000
Zr: 0.516 0.977 0.530
Cr: 0.217 0.570 0.628
Cr: 0.723 0.553 0.152
O: 0.141 0.027 0.365
O: 0.322 0.108 0.820
O: 0.432 0.450 0.357
O: 0.583 0.490 0.841
O: 0.829 0.748 0.355
O: 0.930 0.728 0.841